No. 1
This entry pairs a crystal structure of Ca4AlO5 with its simulated powder diffraction line list. Radiation: Cu Kα, 1.54184 Å. Structure: a DFT-relaxed cell (PBE, Alexandria).

Top 10 peaks for 10 to 90 degrees two-theta, in order of rising 2θ:
| d (Å) | 2θ/deg | intensity |
| --- | --- | --- |
| 2.739 | 32.70 | 69 |
| 2.463 | 36.48 | 58 |
| 2.330 | 38.65 | 100 |
| 1.693 | 54.19 | 60 |
| 1.647 | 55.81 | 27 |
| 1.470 | 63.27 | 12 |
| 1.412 | 66.20 | 23 |
| 1.369 | 68.53 | 24 |
| 1.165 | 82.88 | 6 |
| 1.097 | 89.33 | 11 |

Crystal structure
Cell lengths 5.7622, 5.7622, 5.7622 Å; angles 100.53, 100.53, 129.38 degrees
Sites, in units of the cell vectors:
Ca  0.1014  0.2980  0.3994
Ca  0.2980  0.8986  0.1966
Ca  0.7020  0.1014  0.8034
Ca  0.8986  0.7020  0.6006
Al  0.5472  0.5472  0.0000
O  0.2382  0.5826  0.8276
O  0.4106  0.2382  0.6557
O  0.5826  0.7549  0.3443
O  0.7549  0.4106  0.1724
O  0.9216  0.9216  0.0000


No. 2
This entry pairs a crystal structure of La3Y2Tl4 with its simulated powder diffraction line list. Radiation: Cu Kα, 1.54184 Å. Structure: a DFT-relaxed cell (PBE, Alexandria).

Top 10 peaks for 10 to 90 degrees two-theta, in order of rising 2θ:
| d (Å) | 2θ/deg | intensity |
| --- | --- | --- |
| 4.317 | 20.57 | 13 |
| 2.840 | 31.50 | 100 |
| 2.726 | 32.86 | 94 |
| 1.967 | 46.16 | 35 |
| 1.664 | 55.20 | 20 |
| 1.595 | 57.81 | 36 |
| 1.574 | 58.67 | 18 |
| 1.420 | 65.75 | 12 |
| 1.259 | 75.48 | 16 |
| 1.229 | 77.72 | 15 |

Crystal structure
Cell lengths 5.4520, 5.4520, 10.6679 Å; angles 90.04, 90.04, 59.97 degrees
Sites, in units of the cell vectors:
La  0.0000  0.0000  0.0000
La  0.3330  0.3330  0.4225
La  0.6670  0.6670  0.5775
Y  0.3337  0.3337  0.7818
Y  0.6663  0.6663  0.2182
Tl  0.9996  0.9996  0.3410
Tl  0.0004  0.0004  0.6590
Tl  0.3331  0.3331  0.1030
Tl  0.6669  0.6669  0.8970


No. 3
This entry pairs a crystal structure of Sr2LiH8O6 with its simulated powder diffraction line list. Radiation: Cu Kα, 1.54184 Å. Structure: a DFT-relaxed cell (PBE, Alexandria).

Top 10 peaks for 10 to 90 degrees two-theta, in order of rising 2θ:
| d (Å) | 2θ/deg | intensity |
| --- | --- | --- |
| 5.112 | 17.35 | 73 |
| 4.698 | 18.89 | 100 |
| 4.484 | 19.80 | 68 |
| 3.959 | 22.46 | 33 |
| 3.130 | 28.52 | 36 |
| 3.027 | 29.51 | 82 |
| 2.386 | 37.71 | 25 |
| 2.349 | 38.32 | 67 |
| 2.154 | 41.95 | 22 |
| 1.980 | 45.84 | 22 |

Crystal structure
Cell lengths 5.8613, 3.9591, 9.0058 Å; angles 90.00, 95.28, 90.00 degrees
Sites, in units of the cell vectors:
Sr  0.0000  0.0000  0.0000
Sr  0.4581  0.0000  0.5909
Li  0.2845  0.5000  0.3265
H  0.0756  0.5000  0.5786
H  0.3531  0.5000  0.0752
H  0.5113  0.2026  0.9158
H  0.5113  0.7974  0.9158
H  0.6749  0.5000  0.0900
H  0.7464  0.5000  0.4745
H  0.7539  0.1977  0.2982
H  0.7539  0.8023  0.2982
O  0.2055  0.5000  0.1176
O  0.2219  0.5000  0.5333
O  0.4173  0.0000  0.8729
O  0.6177  0.5000  0.3955
O  0.6819  0.5000  0.9818
O  0.8238  0.0000  0.2489